Mn2B2PbO7: theoretical XRD peak list (Cu Kα, 1.54184 Å), based on a GGA+U-relaxed structure.

Structural model:
```
12
Lattice="2.571 1.484 8.464 -2.571 1.484 8.464 0.000 -2.968 8.464" Properties=species:S:1:pos:R:3 pbc="T T T"
Mn 0.000 0.000 1.817
Mn 0.000 0.000 23.574
B 0.000 0.000 5.895
B 0.000 0.000 19.496
Pb 0.000 0.000 12.695
O 0.000 0.000 0.000
O -1.191 -1.589 11.062
O -0.781 -1.826 14.329
O -0.781 1.826 11.062
O -1.191 1.589 14.329
O 1.972 -0.236 11.062
O 1.972 0.236 14.329
```

The 12 most intense peaks (10° ≤ 2θ ≤ 80°), by angle:
- 10.5°, I 100
- 21.1°, I 92
- 24.4°, I 59
- 26.6°, I 49
- 31.8°, I 62
- 34.9°, I 44
- 36.5°, I 19
- 41.1°, I 39
- 47.9°, I 43
- 55.0°, I 21
- 56.3°, I 18
- 60.7°, I 16